For Rb2TlVO4, a cell relaxed with GGA+U gives the theoretical powder XRD pattern in this record (Cu Kα (weighted mean of Kα1 and Kα2)).
Peak positions follow from Bragg's law for the DFT cell and can differ from measured ones.

Main lines, in order of rising 2θ (2θ = 10–90°):
- 2θ 17.1, I 14, hkl 0 1 1
- 2θ 17.7, I 18, hkl 1 1 0
- 2θ 27.5, I 26, hkl 0 0 2
- 2θ 28.7, I 100, hkl 1 2 1
- 2θ 29.1, I 27, hkl 2 0 0
- 2θ 34.0, I 16, hkl 0 3 1
- 2θ 40.5, I 25, hkl 2 0 2
- 2θ 49.5, I 19, hkl 1 2 3
- 2θ 51.4, I 20, hkl 3 2 1
- 2θ 59.5, I 13, hkl 2 4 2

Structural model:
```
Rb2TlVO4
1.0
6.1317 0.0000 0.0000
0.0000 8.6665 0.0000
0.0000 0.0000 6.4756
Rb Tl V O
4 2 2 8
direct
0.2500 0.0107 0.2476 Rb
0.2500 0.4893 0.2476 Rb
0.7500 0.5107 0.7524 Rb
0.7500 0.9893 0.7524 Rb
0.2500 0.2500 0.7405 Tl
0.7500 0.7500 0.2595 Tl
0.2500 0.7500 0.8211 V
0.7500 0.2500 0.1789 V
0.0161 0.7500 0.9805 O
0.2500 0.5837 0.6719 O
0.2500 0.9163 0.6719 O
0.4839 0.7500 0.9805 O
0.5161 0.2500 0.0195 O
0.7500 0.0837 0.3281 O
0.7500 0.4163 0.3281 O
0.9839 0.2500 0.0195 O
```